No. 1
Simulated powder diffractogram of Cs5RbCo2O5 for Cu Kα, from a GGA+U-relaxed structure.

The 12 most intense peaks (2θ = 10–90°), in order of rising 2θ:
h k l, d [Å], Position (°2θ), I/Imax
1 3 0, 3.560, 25.0, 23
1 1 -2, 3.236, 27.6, 32
2 2 0, 3.148, 28.4, 87
1 3 1, 3.131, 28.5, 24
0 2 2, 3.093, 28.9, 100
0 4 0, 3.052, 29.3, 45
2 0 -2, 2.702, 33.2, 25
2 2 -2, 2.470, 36.4, 40
2 0 2, 2.450, 36.7, 32
3 1 -1, 2.347, 38.4, 20
2 4 -1, 2.274, 39.6, 21
1 5 -2, 1.975, 46.0, 20

Crystal structure
a = 7.383 Å, b = 12.210 Å, c = 7.211 Å
α = 90.00°, β = 95.59°, γ = 90.00°
Space group Cm (No. 8)
Asymmetric unit:
Cs 0.000 0.000 0.000 x2
Cs 0.356 0.244 0.688 x4
Cs 0.363 0.207 0.188 x4
Rb 0.210 0.500 0.373 x2
Co 0.056 0.500 0.851 x2
Co 0.159 0.000 0.489 x2
O 0.059 0.132 0.422 x4
O 0.159 0.374 0.972 x4
O 0.401 0.000 0.633 x2

=====

No. 2
Simulated powder diffractogram of Cs2Rb4Co2O5 for Cu Kα, from a GGA+U-relaxed structure.

The 12 most intense peaks (2θ = 10–90°), in order of rising 2θ:
h k l, d [Å], Position (°2θ), I/Imax
1 1 -2, 3.078, 29.0, 37
2 2 0, 3.056, 29.2, 100
0 2 2, 3.005, 29.7, 94
0 4 0, 2.939, 30.4, 46
2 2 -1, 2.832, 31.6, 19
2 2 1, 2.766, 32.4, 18
2 0 -2, 2.548, 35.2, 21
2 0 2, 2.453, 36.6, 31
2 4 -1, 2.174, 41.5, 16
1 5 -2, 1.892, 48.1, 18
2 4 2, 1.884, 48.3, 18
0 6 2, 1.709, 53.6, 21

Crystal structure
a = 7.152 Å, b = 11.757 Å, c = 6.998 Å
α = 90.00°, β = 92.17°, γ = 90.00°
Space group Cm (No. 8)
Asymmetric unit:
Cs 0.000 0.000 0.000 x2
Cs 0.174 0.500 0.400 x2
Rb 0.332 0.240 0.713 x4
Rb 0.342 0.214 0.211 x4
Co 0.032 0.500 0.888 x2
Co 0.134 0.000 0.513 x2
O 0.048 0.140 0.448 x4
O 0.141 0.367 0.993 x4
O 0.351 0.000 0.694 x2

=====

No. 3
Simulated powder diffractogram of Cs2Rb4Co2O5 for Cu Kα, from a GGA+U-relaxed structure.

The 12 most intense peaks (2θ = 10–90°), in order of rising 2θ:
h k l, d [Å], Position (°2θ), I/Imax
0 0 2, 3.493, 25.5, 18
1 1 -2, 3.142, 28.4, 22
2 2 0, 3.078, 29.0, 100
0 2 2, 3.021, 29.6, 92
0 4 0, 2.992, 29.9, 48
2 2 1, 2.748, 32.6, 28
2 0 -2, 2.619, 34.2, 25
2 0 2, 2.408, 37.3, 31
2 2 -2, 2.399, 37.5, 23
2 4 -1, 2.220, 40.6, 18
1 5 -2, 1.928, 47.1, 15
2 4 2, 1.876, 48.5, 18

Crystal structure
a = 7.209 Å, b = 11.966 Å, c = 7.024 Å
α = 90.00°, β = 94.82°, γ = 90.00°
Space group Cm (No. 8)
Asymmetric unit:
Cs 0.000 0.247 0.000 x4
Rb 0.007 0.211 0.499 x4
Rb 0.141 0.500 0.325 x2
Rb 0.346 0.000 0.672 x2
Co 0.201 0.000 0.171 x2
Co 0.307 0.500 0.790 x2
O 0.046 0.000 0.948 x2
O 0.211 0.365 0.717 x4
O 0.303 0.128 0.297 x4

=====

No. 4
Simulated powder diffractogram of Cs2Rb4Co2O5 for Cu Kα, from a GGA+U-relaxed structure.

The 12 most intense peaks (2θ = 10–90°), in order of rising 2θ:
h k l, d [Å], Position (°2θ), I/Imax
1 3 0, 3.481, 25.6, 45
1 1 -2, 3.133, 28.5, 46
2 2 0, 3.097, 28.8, 87
1 3 1, 3.064, 29.1, 33
0 2 2, 3.005, 29.7, 100
0 4 0, 2.975, 30.0, 39
2 0 -2, 2.625, 34.2, 29
2 0 2, 2.413, 37.3, 59
2 2 -2, 2.402, 37.4, 23
3 1 -1, 2.302, 39.1, 21
1 5 -2, 1.920, 47.4, 28
2 6 1, 1.671, 54.9, 31

Crystal structure
a = 7.281 Å, b = 11.899 Å, c = 6.989 Å
α = 90.00°, β = 94.84°, γ = 90.00°
Space group Cm (No. 8)
Asymmetric unit:
Cs 0.000 0.201 0.000 x4
Rb 0.130 0.500 0.806 x2
Rb 0.351 0.000 0.188 x2
Rb 0.491 0.261 0.501 x4
Co 0.202 0.000 0.655 x2
Co 0.289 0.500 0.309 x2
O 0.039 0.000 0.437 x2
O 0.188 0.363 0.248 x4
O 0.309 0.129 0.773 x4

=====

No. 5
Simulated powder diffractogram of Cs3Rb3ZnCoO5 for Cu Kα, from a GGA+U-relaxed structure.

The 12 most intense peaks (2θ = 10–90°), in order of rising 2θ:
h k l, d [Å], Position (°2θ), I/Imax
1 3 0, 3.524, 25.3, 19
2 0 -1, 3.314, 26.9, 17
1 1 -2, 3.159, 28.3, 27
2 2 0, 3.093, 28.9, 98
0 2 2, 3.045, 29.3, 100
0 4 0, 3.034, 29.4, 53
2 2 1, 2.758, 32.5, 25
2 0 -2, 2.627, 34.1, 22
2 0 2, 2.413, 37.3, 52
2 4 -1, 2.238, 40.3, 19
2 4 2, 1.889, 48.2, 19
1 5 4, 1.379, 68.0, 17

Crystal structure
a = 7.209 Å, b = 12.136 Å, c = 7.066 Å
α = 90.00°, β = 94.82°, γ = 90.00°
Space group Cm (No. 8)
Asymmetric unit:
Cs 0.000 0.000 0.000 x2
Cs 0.345 0.241 0.674 x4
Rb 0.202 0.500 0.366 x2
Rb 0.349 0.215 0.180 x4
Zn 0.166 0.000 0.480 x2
Co 0.055 0.500 0.867 x2
O 0.050 0.134 0.393 x4
O 0.133 0.367 0.965 x4
O 0.407 0.000 0.623 x2

=====

No. 6
Simulated powder diffractogram of Cs3Rb3ZnCoO5 for Cu Kα, from a GGA+U-relaxed structure.

The 12 most intense peaks (2θ = 10–90°), in order of rising 2θ:
h k l, d [Å], Position (°2θ), I/Imax
1 3 0, 3.516, 25.3, 38
1 1 -2, 3.162, 28.2, 45
2 2 0, 3.111, 28.7, 90
1 3 1, 3.094, 28.9, 26
0 2 2, 3.038, 29.4, 100
0 4 0, 3.014, 29.6, 42
2 2 -1, 2.924, 30.6, 20
2 0 -2, 2.641, 33.9, 23
1 3 2, 2.437, 36.9, 19
2 0 2, 2.422, 37.1, 48
3 1 -1, 2.307, 39.0, 15
1 5 -2, 1.942, 46.8, 28

Crystal structure
a = 7.284 Å, b = 12.058 Å, c = 7.060 Å
α = 90.00°, β = 94.90°, γ = 90.00°
Space group Cm (No. 8)
Asymmetric unit:
Cs 0.000 0.000 0.000 x2
Cs 0.367 0.207 0.209 x4
Rb 0.219 0.500 0.397 x2
Rb 0.363 0.233 0.704 x4
Zn 0.065 0.500 0.862 x2
Co 0.158 0.000 0.510 x2
O 0.053 0.135 0.454 x4
O 0.164 0.364 0.968 x4
O 0.410 0.000 0.625 x2

=====

No. 7
Simulated powder diffractogram of Cs3Rb3ZnCoO5 for Cu Kα, from a GGA+U-relaxed structure.

The 12 most intense peaks (2θ = 10–90°), in order of rising 2θ:
h k l, d [Å], Position (°2θ), I/Imax
1 3 0, 3.511, 25.4, 40
1 1 -2, 3.161, 28.2, 44
2 2 0, 3.113, 28.7, 87
1 3 1, 3.087, 28.9, 27
0 2 2, 3.030, 29.5, 100
0 4 0, 3.007, 29.7, 40
2 2 -1, 2.929, 30.5, 20
2 0 -2, 2.646, 33.9, 23
2 0 2, 2.420, 37.2, 47
1 5 -2, 1.939, 46.9, 27
4 2 0, 1.741, 52.6, 21
2 6 1, 1.685, 54.5, 23

Crystal structure
a = 7.304 Å, b = 12.027 Å, c = 7.043 Å
α = 90.00°, β = 95.14°, γ = 90.00°
Space group Cm (No. 8)
Asymmetric unit:
Cs 0.000 0.000 0.000 x2
Cs 0.367 0.204 0.206 x4
Rb 0.225 0.500 0.404 x2
Rb 0.355 0.233 0.697 x4
Zn 0.168 0.000 0.513 x2
Co 0.074 0.500 0.865 x2
O 0.049 0.137 0.444 x4
O 0.157 0.365 0.957 x4
O 0.419 0.000 0.626 x2

=====

No. 8
Simulated powder diffractogram of Cs3Rb3ZnCoO5 for Cu Kα, from a GGA+U-relaxed structure.

The 12 most intense peaks (2θ = 10–90°), in order of rising 2θ:
h k l, d [Å], Position (°2θ), I/Imax
1 3 0, 3.517, 25.3, 37
1 1 -2, 3.181, 28.1, 46
2 2 0, 3.124, 28.6, 76
1 3 1, 3.097, 28.8, 26
0 2 2, 3.048, 29.3, 100
0 4 0, 3.008, 29.7, 42
2 2 -1, 2.941, 30.4, 21
2 0 -2, 2.661, 33.7, 26
2 0 2, 2.439, 36.9, 52
2 2 -2, 2.434, 36.9, 20
3 1 -1, 2.324, 38.7, 19
1 5 -2, 1.944, 46.7, 28

Crystal structure
a = 7.340 Å, b = 12.033 Å, c = 7.098 Å
α = 90.00°, β = 95.05°, γ = 90.00°
Space group Cm (No. 8)
Asymmetric unit:
Cs 0.000 0.000 0.000 x2
Cs 0.145 0.294 0.793 x4
Rb 0.149 0.267 0.290 x4
Rb 0.276 0.000 0.612 x2
Zn 0.450 0.000 0.110 x2
Co 0.364 0.500 0.468 x2
O 0.190 0.500 0.246 x2
O 0.341 0.138 0.031 x4
O 0.452 0.365 0.552 x4